Diffraction record for Pm6Ga3O2. The PXRD pattern is computed, not measured: it uses the GGA-PBE geometry in Alexandria and Cu Kα X-rays.
Neutral-atom scattering factors, no anomalous dispersion.

Crystal structure
Cell: 12.3642 12.3642 12.3642 Å, 157.67 157.67 31.78°
Element x y z (fractional)
Pm (0.0830, 0.5830, 0.5000)
Pm (0.2022, 0.2022, 0.0000)
Pm (0.4170, 0.9170, 0.5000)
Pm (0.5830, 0.0830, 0.5000)
Pm (0.7978, 0.7978, 0.0000)
Pm (0.9170, 0.4170, 0.5000)
Ga (0.3299, 0.3299, 0.0000)
Ga (0.5000, 0.5000, 0.0000)
Ga (0.6701, 0.6701, 0.0000)
O (0.1024, 0.1024, 0.0000)
O (0.8976, 0.8976, 0.0000)

Peak list (6 most intense, 2θ = 15–90°, in order of rising 2θ)
two_theta	d_spacing	intensity
27.39	3.256	74
30.38	2.942	28
32.31	2.771	26
34.85	2.574	100
37.57	2.394	73
66.05	1.414	31